(1)
Diffraction record for LaPt2. The X-ray powder pattern is computed, not measured: it uses a crystal structure in the Materials Project, relaxed with PBE and λ = 1.5418 Å (Cu Kα).

Atomic structure:
Unit cell a=5.563 b=5.563 c=5.563 alpha=60.00 beta=60.00 gamma=60.00
Element x y z (fractional)
La 0.125 0.125 0.125
La 0.875 0.875 0.875
Pt 0.000 0.500 0.500
Pt 0.500 0.000 0.500
Pt 0.500 0.500 0.000
Pt 0.500 0.500 0.500

Top 10 peaks for 10 to 90 degrees two-theta, sorted by position:
2θ = 19.5°, d = 4.542 Å, intensity 18.5; 2θ = 32.2°, d = 2.782 Å, intensity 17.5; 2θ = 37.9°, d = 2.372 Å, intensity 100.0; 2θ = 39.7°, d = 2.271 Å, intensity 52.1; 2θ = 46.2°, d = 1.967 Å, intensity 10.7; 2θ = 57.4°, d = 1.606 Å, intensity 6.7; 2θ = 61.2°, d = 1.514 Å, intensity 33.3; 2θ = 67.3°, d = 1.391 Å, intensity 30.7; 2θ = 80.0°, d = 1.200 Å, intensity 11.7; 2θ = 81.1°, d = 1.186 Å, intensity 20.4

---

(2)
Diffraction record for LaPt. The X-ray powder pattern is computed, not measured: it uses a crystal structure in the Materials Project, relaxed with PBE and λ = 1.5418 Å (Cu Kα).

Atomic structure:
Unit cell a=3.990 b=11.124 c=4.599 alpha=90.00 beta=90.00 gamma=90.00
Element x y z (fractional)
La 0.000 0.136 0.250
La 0.000 0.864 0.750
La 0.500 0.364 0.750
La 0.500 0.636 0.250
Pt 0.000 0.409 0.250
Pt 0.000 0.591 0.750
Pt 0.500 0.091 0.750
Pt 0.500 0.909 0.250

Top 10 peaks for 10 to 90 degrees two-theta, sorted by position:
2θ = 30.7°, d = 2.909 Å, intensity 100.0; 2θ = 32.2°, d = 2.781 Å, intensity 34.5; 2θ = 37.8°, d = 2.380 Å, intensity 21.9; 2θ = 38.5°, d = 2.339 Å, intensity 88.7; 2θ = 39.2°, d = 2.300 Å, intensity 32.7; 2θ = 45.5°, d = 1.995 Å, intensity 21.5; 2θ = 51.6°, d = 1.772 Å, intensity 18.5; 2θ = 61.5°, d = 1.507 Å, intensity 17.5; 2θ = 70.5°, d = 1.335 Å, intensity 15.2; 2θ = 71.2°, d = 1.325 Å, intensity 14.1

---

(3)
Diffraction record for LaSi2Pt2. The X-ray powder pattern is computed, not measured: it uses a crystal structure in the Materials Project, relaxed with PBE and λ = 1.5418 Å (Cu Kα).

Atomic structure:
Unit cell a=4.331 b=4.331 c=9.884 alpha=90.00 beta=90.00 gamma=90.00
Element x y z (fractional)
La 0.250 0.250 0.245
La 0.750 0.750 0.755
Si 0.250 0.250 0.630
Si 0.250 0.750 0.000
Si 0.750 0.250 0.000
Si 0.750 0.750 0.370
Pt 0.250 0.250 0.880
Pt 0.250 0.750 0.500
Pt 0.750 0.250 0.500
Pt 0.750 0.750 0.120

Top 10 peaks for 10 to 90 degrees two-theta, sorted by position:
2θ = 27.1°, d = 3.295 Å, intensity 29.2; 2θ = 27.4°, d = 3.257 Å, intensity 35.0; 2θ = 30.6°, d = 2.925 Å, intensity 94.1; 2θ = 34.2°, d = 2.622 Å, intensity 78.4; 2θ = 34.5°, d = 2.603 Å, intensity 100.0; 2θ = 41.7°, d = 2.165 Å, intensity 82.4; 2θ = 47.3°, d = 1.923 Å, intensity 31.9; 2θ = 55.0°, d = 1.670 Å, intensity 40.5; 2θ = 60.5°, d = 1.531 Å, intensity 27.7; 2θ = 71.5°, d = 1.320 Å, intensity 24.1